1.
Structure and simulated PXRD pattern of Cs5AgBi2 (DFT lattice parameters and positions (GGA-PBE); Cu Kα X-rays).
Intensities are scaled so that the largest is 100.

Cell lengths 11.1855, 11.1855, 11.1855 Å; angles 34.70, 34.70, 34.70 degrees
Positions (direct):
Cs 0.0000 0.0000 0.0000
Cs 0.1352 0.1352 0.1352
Cs 0.2832 0.2832 0.2832
Cs 0.7168 0.7168 0.7168
Cs 0.8648 0.8648 0.8648
Ag 0.5000 0.5000 0.5000
Bi 0.4109 0.4109 0.4109
Bi 0.5891 0.5891 0.5891

The 10 most intense peaks (2θ from 10° to 90°), low angle first:
2theta	I_rel
15.60	11
25.08	56
26.73	100
32.37	13
36.98	20
46.21	22
47.20	21
51.45	12
55.07	13
75.40	11

2.
Structure and simulated PXRD pattern of CsAg2BiS3 (DFT lattice parameters and positions (GGA-PBE); Cu Kα X-rays).
Intensities are scaled so that the largest is 100.

Cell lengths 13.5937, 8.2567, 7.0405 Å; angles 90.00, 99.59, 90.00 degrees
Positions (direct):
Cs 0.1787 0.1182 0.3184
Cs 0.1787 0.3818 0.8184
Cs 0.8213 0.6182 0.1816
Cs 0.8213 0.8818 0.6816
Ag 0.0905 0.7468 0.5295
Ag 0.0905 0.7532 0.0295
Ag 0.2694 0.6408 0.3525
Ag 0.2694 0.8592 0.8525
Ag 0.7306 0.1408 0.1475
Ag 0.7306 0.3592 0.6475
Ag 0.9095 0.2468 0.9705
Ag 0.9095 0.2532 0.4705
Bi 0.4973 0.1303 0.7558
Bi 0.4973 0.3697 0.2558
Bi 0.5027 0.6303 0.7442
Bi 0.5027 0.8697 0.2442
S 0.0915 0.5521 0.2761
S 0.0915 0.9479 0.7761
S 0.3796 0.6408 0.0474
S 0.3796 0.8592 0.5474
S 0.3812 0.1234 0.0463
S 0.3812 0.3766 0.5463
S 0.6188 0.6234 0.4537
S 0.6188 0.8766 0.9537
S 0.6204 0.1408 0.4526
S 0.6204 0.3592 0.9526
S 0.9085 0.0521 0.2239
S 0.9085 0.4479 0.7239

The 10 most intense peaks (2θ from 10° to 90°), low angle first:
2theta	I_rel
19.88	48
25.41	74
27.42	38
27.60	36
28.75	28
29.47	100
29.85	55
35.24	31
40.41	36
44.41	65

3.
Structure and simulated PXRD pattern of Cu2AgBi2 (DFT lattice parameters and positions (GGA-PBE); Cu Kα X-rays).
Intensities are scaled so that the largest is 100.

Cell lengths 3.5153, 3.5153, 17.5317 Å; angles 90.00, 90.00, 90.00 degrees
Positions (direct):
Cu 0.0000 0.5000 0.2500
Cu 0.0000 0.5000 0.7500
Cu 0.5000 0.0000 0.2500
Cu 0.5000 0.0000 0.7500
Ag 0.0000 0.0000 0.0000
Ag 0.5000 0.5000 0.5000
Bi 0.0000 0.0000 0.3821
Bi 0.0000 0.0000 0.6179
Bi 0.5000 0.5000 0.1179
Bi 0.5000 0.5000 0.8821

The 10 most intense peaks (2θ from 10° to 90°), low angle first:
2theta	I_rel
25.85	29
29.66	77
36.17	100
37.61	26
41.19	25
41.78	44
52.03	27
61.04	20
65.04	38
68.42	22

4.
Structure and simulated PXRD pattern of Cu2AgBiPbS4 (DFT lattice parameters and positions (GGA-PBE); Cu Kα X-rays).
Intensities are scaled so that the largest is 100.

Cell lengths 13.0789, 4.1123, 15.2180 Å; angles 90.00, 90.00, 90.00 degrees
Positions (direct):
Cu 0.0318 0.2500 0.1346
Cu 0.0935 0.2500 0.8490
Cu 0.4065 0.7500 0.3490
Cu 0.4682 0.7500 0.6346
Cu 0.5318 0.2500 0.3654
Cu 0.5935 0.2500 0.6510
Cu 0.9065 0.7500 0.1510
Cu 0.9682 0.7500 0.8654
Ag 0.1450 0.7500 0.0699
Ag 0.3550 0.2500 0.5699
Ag 0.6450 0.7500 0.4301
Ag 0.8550 0.2500 0.9301
Bi 0.0877 0.7500 0.5922
Bi 0.4123 0.2500 0.0922
Bi 0.5877 0.7500 0.9078
Bi 0.9123 0.2500 0.4078
Pb 0.1796 0.7500 0.3152
Pb 0.3204 0.2500 0.8152
Pb 0.6796 0.7500 0.1848
Pb 0.8204 0.2500 0.6848
S 0.0410 0.2500 0.7062
S 0.1096 0.2500 0.4519
S 0.1274 0.7500 0.9078
S 0.1915 0.2500 0.1748
S 0.3085 0.7500 0.6748
S 0.3726 0.2500 0.4078
S 0.3904 0.7500 0.9519
S 0.4590 0.7500 0.2062
S 0.5410 0.2500 0.7938
S 0.6096 0.2500 0.0481
S 0.6274 0.7500 0.5922
S 0.6915 0.2500 0.3252
S 0.8085 0.7500 0.8252
S 0.8726 0.2500 0.0922
S 0.8904 0.7500 0.5481
S 0.9590 0.7500 0.2938

The 10 most intense peaks (2θ from 10° to 90°), low angle first:
2theta	I_rel
23.39	48
24.37	62
25.58	79
26.26	30
27.92	100
28.77	85
32.79	67
38.27	39
42.65	65
44.04	47

5.
Structure and simulated PXRD pattern of CuAgBi2Se4 (DFT lattice parameters and positions (GGA-PBE); Cu Kα X-rays).
Intensities are scaled so that the largest is 100.

Cell lengths 8.7982, 8.1753, 6.7256 Å; angles 90.00, 90.00, 90.00 degrees
Positions (direct):
Cu 0.0000 0.1768 0.0000
Cu 0.5000 0.8232 0.5000
Ag 0.0000 0.8268 0.5014
Ag 0.5000 0.1732 0.0014
Bi 0.2454 0.6773 0.9801
Bi 0.2546 0.3227 0.4801
Bi 0.7454 0.3227 0.4801
Bi 0.7546 0.6773 0.9801
Se 0.0000 0.1398 0.3570
Se 0.0000 0.8905 0.8910
Se 0.2346 0.3085 0.8900
Se 0.2654 0.6915 0.3900
Se 0.5000 0.1095 0.3910
Se 0.5000 0.8602 0.8570
Se 0.7346 0.6915 0.3900
Se 0.7654 0.3085 0.8900

The 10 most intense peaks (2θ from 10° to 90°), low angle first:
2theta	I_rel
21.74	35
22.96	51
25.50	20
26.53	100
35.34	21
38.88	48
41.03	24
46.82	36
47.67	36
49.52	18

6.
Structure and simulated PXRD pattern of DyAg2Bi2 (DFT lattice parameters and positions (GGA-PBE); Cu Kα X-rays).
Intensities are scaled so that the largest is 100.

Cell lengths 11.9761, 11.9761, 4.6030 Å; angles 90.00, 90.00, 157.82 degrees
Positions (direct):
Dy 0.1435 0.8565 0.7500
Dy 0.8565 0.1435 0.2500
Ag 0.0369 0.9631 0.2500
Ag 0.4625 0.5375 0.2500
Ag 0.5375 0.4625 0.7500
Ag 0.9631 0.0369 0.7500
Bi 0.2503 0.7497 0.2500
Bi 0.3808 0.6192 0.7500
Bi 0.6192 0.3808 0.2500
Bi 0.7497 0.2503 0.7500

The 10 most intense peaks (2θ from 10° to 90°), low angle first:
2theta	I_rel
29.71	24
30.42	13
33.48	100
38.29	7
39.13	44
50.35	13
55.90	9
56.53	15
58.38	7
67.32	26

Question: What is the formula in the sixth record?
Answer: DyAg2Bi2